(1)
Computed powder X-ray diffraction pattern of Li5Co5Cu2O12 for Cu Ka, from a crystal structure in the Materials Project, relaxed with PBE+U.
No peak broadening, texture or thermal motion is included.

Peak list (10 most intense, 5 to 70 degrees two-theta, in order of rising 2θ)
2θ/deg  I/Imax
18.83  48
20.64  26
21.16  20
23.50  39
37.40  17
37.94  32
42.91  54
44.55  100
63.03  29
64.12  27

```
data_Li5Co5Cu2O12
_chemical_formula_sum 'Li10 Co10 Cu4 O24'
_symmetry_space_group_name_H-M 'C 1 2 1'
_symmetry_Int_Tables_number 5
_symmetry_space_group_name_Hall 'C 2y'
_cell_length_a 5.160
_cell_length_b 8.606
_cell_length_c 9.543
_cell_angle_alpha 90.00
_cell_angle_beta 99.02
_cell_angle_gamma 90.00
loop_
_atom_site_label
_atom_site_type_symbol
_atom_site_fract_x
_atom_site_fract_y
_atom_site_fract_z
Li1 Li 0.000 0.000 0.000
Li2 Li 0.239 0.165 0.243
Li3 Li 0.243 0.500 0.242
Co1 Co 0.000 0.161 0.500
Co2 Co 0.000 0.495 0.500
Co3 Co 0.000 0.668 0.000
Co4 Co 0.244 0.838 0.243
Cu1 Cu 0.000 0.336 0.000
Cu2 Cu 0.000 0.827 0.500
O1 O 0.076 0.327 0.376
O2 O 0.084 0.823 0.866
O3 O 0.114 0.501 0.882
O4 O 0.147 0.659 0.395
O5 O 0.147 0.995 0.390
O6 O 0.152 0.180 0.884
```

---

(2)
Computed powder X-ray diffraction pattern of Li5Co2Cu3O10 for Cu Ka, from a crystal structure in the Materials Project, relaxed with PBE+U.
No peak broadening, texture or thermal motion is included.

Peak list (10 most intense, 5 to 70 degrees two-theta, in order of rising 2θ)
2θ/deg  I/Imax
12.77  84
18.58  100
19.30  36
21.88  35
37.65  25
40.27  75
45.09  60
46.03  57
62.51  36
66.40  32

```
data_Li5Co2Cu3O10
_chemical_formula_sum 'Li5 Co2 Cu3 O10'
_symmetry_space_group_name_H-M 'P -1'
_symmetry_Int_Tables_number 2
_symmetry_space_group_name_Hall '-P 1'
_cell_length_a 4.992
_cell_length_b 5.302
_cell_length_c 7.529
_cell_angle_alpha 104.64
_cell_angle_beta 102.99
_cell_angle_gamma 104.50
loop_
_atom_site_label
_atom_site_type_symbol
_atom_site_fract_x
_atom_site_fract_y
_atom_site_fract_z
Li1 Li 0.000 0.000 0.000
Li2 Li 0.104 0.213 0.711
Li3 Li 0.294 0.604 0.103
Co1 Co 0.397 0.827 0.808
Cu1 Cu 0.196 0.391 0.400
Cu2 Cu 0.500 0.000 0.500
O1 O 0.058 0.621 0.836
O2 O 0.156 0.831 0.571
O3 O 0.290 0.981 0.253
O4 O 0.368 0.163 0.951
O5 O 0.442 0.480 0.664
```

---

(3)
Computed powder X-ray diffraction pattern of LiCoCuO4 for Cu Ka, from a crystal structure in the Materials Project, relaxed with PBE+U.
No peak broadening, texture or thermal motion is included.

Peak list (10 most intense, 5 to 70 degrees two-theta, in order of rising 2θ)
2θ/deg  I/Imax
18.66  100
18.95  41
19.14  52
36.13  16
36.41  30
36.97  11
37.17  11
43.79  38
44.79  72
64.09  20

```
data_LiCoCuO4
_chemical_formula_sum 'Li2 Co2 Cu2 O8'
_symmetry_space_group_name_H-M 'P -1'
_symmetry_Int_Tables_number 2
_symmetry_space_group_name_Hall '-P 1'
_cell_length_a 5.640
_cell_length_b 5.754
_cell_length_c 5.778
_cell_angle_alpha 60.50
_cell_angle_beta 61.22
_cell_angle_gamma 61.19
loop_
_atom_site_label
_atom_site_type_symbol
_atom_site_fract_x
_atom_site_fract_y
_atom_site_fract_z
Li1 Li 0.000 0.000 0.000
Li2 Li 0.000 0.000 0.500
Co1 Co 0.000 0.500 0.000
Co2 Co 0.500 0.500 0.000
Cu1 Cu 0.500 0.000 0.000
Cu2 Cu 0.500 0.500 0.500
O1 O 0.240 0.290 0.214
O2 O 0.248 0.259 0.786
O3 O 0.254 0.718 0.768
O4 O 0.289 0.743 0.219
```

---

(4)
Computed powder X-ray diffraction pattern of LiCoCuO4 for Cu Ka, from a crystal structure in the Materials Project, relaxed with PBE+U.
No peak broadening, texture or thermal motion is included.

Peak list (10 most intense, 5 to 70 degrees two-theta, in order of rising 2θ)
2θ/deg  I/Imax
18.41  100
36.08  12
37.31  29
38.20  8
42.44  20
45.37  33
59.51  9
62.64  9
65.08  10
66.10  9

```
data_LiCoCuO4
_chemical_formula_sum 'Li1 Co1 Cu1 O4'
_symmetry_space_group_name_H-M 'P 1 2/m 1'
_symmetry_Int_Tables_number 10
_symmetry_space_group_name_Hall '-P 2y'
_cell_length_a 5.002
_cell_length_b 2.827
_cell_length_c 5.231
_cell_angle_alpha 90.00
_cell_angle_beta 112.89
_cell_angle_gamma 90.00
loop_
_atom_site_label
_atom_site_type_symbol
_atom_site_fract_x
_atom_site_fract_y
_atom_site_fract_z
Li1 Li 0.000 0.000 0.000
Co1 Co 0.500 0.000 0.500
Cu1 Cu 0.000 0.500 0.500
O1 O 0.247 0.000 0.692
O2 O 0.265 0.500 0.276
```

---

(5)
Computed powder X-ray diffraction pattern of Li4Co3CuO8 for Cu Ka, from a crystal structure in the Materials Project, relaxed with PBE+U.
No peak broadening, texture or thermal motion is included.

Peak list (10 most intense, 5 to 70 degrees two-theta, in order of rising 2θ)
2θ/deg  I/Imax
18.13  100
36.09  43
36.74  6
37.67  15
43.50  76
47.49  16
57.09  14
62.58  21
63.84  20
66.97  14

```
data_Li4Co3CuO8
_chemical_formula_sum 'Li12 Co9 Cu3 O24'
_symmetry_space_group_name_H-M 'R -3 m'
_symmetry_Int_Tables_number 166
_symmetry_space_group_name_Hall '-R 3 2"'
_cell_length_a 5.8323
_cell_length_b 5.8323
_cell_length_c 14.6787
_cell_angle_alpha 90.00
_cell_angle_beta 90.00
_cell_angle_gamma 120.00
loop_
_atom_site_label
_atom_site_type_symbol
_atom_site_fract_x
_atom_site_fract_y
_atom_site_fract_z
Li1 Li 0.0000 0.0000 0.0000
Li2 Li 0.0000 0.5000 0.0000
Co1 Co 0.0000 0.5000 0.5000
Cu1 Cu 0.0000 0.0000 0.5000
O1 O 0.0000 0.0000 0.2441
O2 O 0.0057 0.5028 0.7566
```

---

(6)
Computed powder X-ray diffraction pattern of Li3Co2Cu3O10 for Cu Ka, from a crystal structure in the Materials Project, relaxed with PBE+U.
No peak broadening, texture or thermal motion is included.

Peak list (10 most intense, 5 to 70 degrees two-theta, in order of rising 2θ)
2θ/deg  I/Imax
13.01  66
18.30  100
18.71  36
22.27  25
26.53  16
36.25  19
37.10  25
42.47  49
43.97  47
45.30  43

```
data_Li3Co2Cu3O10
_chemical_formula_sum 'Li3 Co2 Cu3 O10'
_symmetry_space_group_name_H-M 'P -1'
_symmetry_Int_Tables_number 2
_symmetry_space_group_name_Hall '-P 1'
_cell_length_a 5.029
_cell_length_b 5.265
_cell_length_c 7.445
_cell_angle_alpha 108.86
_cell_angle_beta 99.67
_cell_angle_gamma 102.51
loop_
_atom_site_label
_atom_site_type_symbol
_atom_site_fract_x
_atom_site_fract_y
_atom_site_fract_z
Li1 Li 0.000 0.000 0.000
Li2 Li 0.285 0.588 0.095
Co1 Co 0.388 0.807 0.806
Cu1 Cu 0.197 0.382 0.403
Cu2 Cu 0.500 0.000 0.500
O1 O 0.055 0.643 0.842
O2 O 0.182 0.766 0.547
O3 O 0.289 0.031 0.273
O4 O 0.391 0.169 0.955
O5 O 0.448 0.459 0.665
```